Theoretical powder X-ray diffraction pattern of BaHfMg14 for a wavelength of 1.5418 Å, from the GGA-PBE geometry in the Materials Project.

Principal peaks in the range 10° ≤ 2θ ≤ 80°, by angle:
| two_theta | I/Imax |
| --- | --- |
| 15.53 | 25 |
| 16.91 | 20 |
| 17.70 | 37 |
| 23.04 | 20 |
| 31.33 | 33 |
| 32.50 | 25 |
| 34.21 | 24 |
| 35.81 | 100 |
| 47.07 | 21 |
| 67.07 | 19 |

Crystal structure
Unit cell a=10.484 b=6.590 c=6.590 alpha=60.10 beta=90.00 gamma=90.00
Sites, in units of the cell vectors:
1 Ba 0.000 0.000 0.000
2 Hf 0.000 0.488 0.488
3 Mg 0.000 0.001 0.498
4 Mg 0.000 0.498 0.001
5 Mg 0.245 0.663 0.663
6 Mg 0.261 0.176 0.652
7 Mg 0.261 0.652 0.176
8 Mg 0.265 0.172 0.172
9 Mg 0.500 0.499 0.499
10 Mg 0.500 0.502 0.995
11 Mg 0.500 0.995 0.502
12 Mg 0.500 0.998 0.998
13 Mg 0.735 0.172 0.172
14 Mg 0.739 0.176 0.652
15 Mg 0.739 0.652 0.176
16 Mg 0.755 0.663 0.663

***

Theoretical powder X-ray diffraction pattern of BaHfMg6O8 for a wavelength of 1.5418 Å, from the GGA-PBE geometry in the Materials Project.

Principal peaks in the range 10° ≤ 2θ ≤ 80°, by angle:
| two_theta | I/Imax |
| --- | --- |
| 19.67 | 53 |
| 26.82 | 48 |
| 28.62 | 86 |
| 33.48 | 87 |
| 38.30 | 100 |
| 39.63 | 29 |
| 39.95 | 40 |
| 55.28 | 32 |
| 56.53 | 54 |
| 66.19 | 29 |

Crystal structure
Unit cell a=4.700 b=4.700 c=9.028 alpha=90.00 beta=90.00 gamma=90.00
Sites, in units of the cell vectors:
1 Ba 0.000 0.000 0.000
2 Hf 0.500 0.500 0.000
3 Mg 0.000 0.000 0.500
4 Mg 0.000 0.500 0.273
5 Mg 0.000 0.500 0.727
6 Mg 0.500 0.000 0.273
7 Mg 0.500 0.000 0.727
8 Mg 0.500 0.500 0.500
9 O 0.000 0.000 0.284
10 O 0.000 0.000 0.716
11 O 0.000 0.500 0.000
12 O 0.000 0.500 0.500
13 O 0.500 0.000 0.000
14 O 0.500 0.000 0.500
15 O 0.500 0.500 0.248
16 O 0.500 0.500 0.752

***

Theoretical powder X-ray diffraction pattern of BaHfMg6O8 for a wavelength of 1.5418 Å, from the GGA-PBE geometry in the Materials Project.

Principal peaks in the range 10° ≤ 2θ ≤ 80°, by angle:
| two_theta | I/Imax |
| --- | --- |
| 18.67 | 100 |
| 19.55 | 46 |
| 26.52 | 44 |
| 27.16 | 84 |
| 33.16 | 81 |
| 37.85 | 92 |
| 39.69 | 39 |
| 47.21 | 37 |
| 54.61 | 30 |
| 56.01 | 53 |

Crystal structure
Unit cell a=4.754 b=4.754 c=9.083 alpha=90.00 beta=90.00 gamma=90.00
Sites, in units of the cell vectors:
1 Ba 0.000 0.000 0.000
2 Hf 0.000 0.000 0.500
3 Mg 0.000 0.500 0.255
4 Mg 0.000 0.500 0.745
5 Mg 0.500 0.000 0.255
6 Mg 0.500 0.000 0.745
7 Mg 0.500 0.500 0.000
8 Mg 0.500 0.500 0.500
9 O 0.000 0.000 0.279
10 O 0.000 0.000 0.721
11 O 0.000 0.500 0.000
12 O 0.000 0.500 0.500
13 O 0.500 0.000 0.000
14 O 0.500 0.000 0.500
15 O 0.500 0.500 0.249
16 O 0.500 0.500 0.751

***

Theoretical powder X-ray diffraction pattern of BaHfMo for a wavelength of 1.5418 Å, from the GGA-PBE geometry in the Materials Project.

Principal peaks in the range 10° ≤ 2θ ≤ 80°, by angle:
| two_theta | I/Imax |
| --- | --- |
| 22.32 | 17 |
| 25.83 | 33 |
| 36.85 | 100 |
| 43.51 | 9 |
| 45.55 | 10 |
| 53.10 | 17 |
| 58.30 | 4 |
| 59.97 | 13 |
| 66.39 | 35 |
| 78.42 | 11 |

Crystal structure
Unit cell a=6.898 b=6.898 c=6.898 alpha=90.00 beta=90.00 gamma=90.00
Sites, in units of the cell vectors:
1 Ba 0.000 0.000 0.000
2 Ba 0.000 0.500 0.500
3 Ba 0.500 0.000 0.500
4 Ba 0.500 0.500 0.000
5 Hf 0.000 0.000 0.500
6 Hf 0.000 0.500 0.000
7 Hf 0.500 0.000 0.000
8 Hf 0.500 0.500 0.500
9 Mo 0.250 0.250 0.250
10 Mo 0.250 0.750 0.750
11 Mo 0.750 0.250 0.750
12 Mo 0.750 0.750 0.250